The following is a calculated powder diffractogram of ErHfIr2. It was derived from a crystal structure in the Materials Project, relaxed with GGA-PBE, using copper Kα.
Neutral-atom scattering factors, no anomalous dispersion.

Structural model:
Cell: 6.674 6.674 6.674 Å, 90.00 90.00 90.00°
Space group Fm-3m (No. 225)
One atom of each set of equivalent atoms:
1 Er 0.000 0.000 0.000 [4 per cell]
2 Hf 0.000 0.000 0.500 [4 per cell]
3 Ir 0.250 0.250 0.250 [8 per cell]

Main lines, in order of falling intensity (2θ = 10–90°):
- 2θ 38.14, d 2.359, I = 100, (2 2 0)
- 2θ 68.93, d 1.362, I = 36, (4 2 2)
- 2θ 55.04, d 1.668, I = 18, (4 0 0)
- 2θ 81.61, d 1.180, I = 11, (4 4 0)

***

The following is a calculated powder diffractogram of ErHfRu2. It was derived from a crystal structure in the Materials Project, relaxed with GGA-PBE, using copper Kα.
Neutral-atom scattering factors, no anomalous dispersion.

Structural model:
Cell: 6.606 6.606 6.606 Å, 90.00 90.00 90.00°
Space group Fm-3m (No. 225)
One atom of each set of equivalent atoms:
1 Er 0.000 0.000 0.000 [4 per cell]
2 Hf 0.000 0.000 0.500 [4 per cell]
3 Ru 0.250 0.250 0.250 [8 per cell]

Main lines, in order of falling intensity (2θ = 10–90°):
- 2θ 38.55, d 2.335, I = 100, (2 2 0)
- 2θ 69.74, d 1.348, I = 35, (4 2 2)
- 2θ 55.66, d 1.651, I = 17, (4 0 0)
- 2θ 82.63, d 1.168, I = 11, (4 4 0)
- 2θ 27.00, d 3.303, I = 7, (2 0 0)
- 2θ 62.92, d 1.477, I = 3, (4 2 0)
- 2θ 47.69, d 1.907, I = 2, (2 2 2)
- 2θ 88.89, d 1.101, I = 2, (6 0 0)

***

The following is a calculated powder diffractogram of ErHg2. It was derived from a crystal structure in the Materials Project, relaxed with GGA-PBE, using copper Kα.
Neutral-atom scattering factors, no anomalous dispersion.

Structural model:
Cell: 4.9421 4.9421 3.4158 Å, 90.00 90.00 120.00°
Space group P6/mmm (No. 191)
One atom of each set of equivalent atoms:
1 Er 0.0000 0.0000 0.0000 [1 per cell]
2 Hg 0.3333 0.6667 0.5000 [2 per cell]

Main lines, in order of falling intensity (2θ = 10–90°):
- 2θ 33.57, d 2.670, I = 100, (1 0 1)
- 2θ 36.36, d 2.471, I = 97, (1 1 0)
- 2θ 66.56, d 1.405, I = 34, (1 1 2)
- 2θ 50.31, d 1.813, I = 32, (2 0 1)
- 2θ 63.65, d 1.462, I = 32, (2 1 1)
- 2θ 45.29, d 2.002, I = 19, (1 1 1)
- 2θ 65.42, d 1.427, I = 18, (3 0 0)
- 2θ 89.51, d 1.095, I = 16, (3 0 2)
- 2θ 86.87, d 1.121, I = 14, (3 1 1)
- 2θ 26.09, d 3.416, I = 13, (0 0 1)

***

The following is a calculated powder diffractogram of ErHg3. It was derived from a crystal structure in the Materials Project, relaxed with GGA-PBE, using copper Kα.
Neutral-atom scattering factors, no anomalous dispersion.

Structural model:
Cell: 6.6460 6.6460 4.9921 Å, 90.00 90.00 120.00°
Space group P6_3/mmc (No. 194)
One atom of each set of equivalent atoms:
1 Er 0.3333 0.6667 0.2500 [2 per cell]
2 Hg 0.1669 0.3338 0.7500 [6 per cell]

Main lines, in order of falling intensity (2θ = 10–90°):
- 2θ 36.02, d 2.494, I = 100, (0 0 2)
- 2θ 67.76, d 1.383, I = 31, (2 2 2)
- 2θ 31.08, d 2.878, I = 20, (2 0 0)
- 2θ 64.72, d 1.440, I = 18, (2 0 3)
- 2θ 55.29, d 1.661, I = 16, (2 2 0)
- 2θ 48.26, d 1.886, I = 12, (2 0 2)
- 2θ 76.40, d 1.247, I = 3, (4 0 2)
- 2θ 84.64, d 1.145, I = 3, (2 0 4)
- 2θ 76.30, d 1.248, I = 2, (0 0 4)

***

The following is a calculated powder diffractogram of LiErHg2. It was derived from a crystal structure in the Materials Project, relaxed with GGA-PBE, using copper Kα.
Neutral-atom scattering factors, no anomalous dispersion.

Structural model:
Cell: 7.079 7.079 7.079 Å, 90.00 90.00 90.00°
Space group Fm-3m (No. 225)
One atom of each set of equivalent atoms:
1 Li 0.000 0.000 0.000 [4 per cell]
2 Er 0.000 0.000 0.500 [4 per cell]
3 Hg 0.250 0.250 0.250 [8 per cell]

Main lines, in order of falling intensity (2θ = 10–90°):
- 2θ 35.88, d 2.503, I = 100, (2 2 0)
- 2θ 64.48, d 1.445, I = 37, (4 2 2)
- 2θ 25.16, d 3.540, I = 20, (2 0 0)
- 2θ 21.74, d 4.087, I = 19, (1 1 1)
- 2θ 51.64, d 1.770, I = 18, (4 0 0)
- 2θ 87.06, d 1.119, I = 17, (6 2 0)
- 2θ 76.05, d 1.251, I = 12, (4 4 0)
- 2θ 42.34, d 2.135, I = 10, (3 1 1)
- 2θ 58.29, d 1.583, I = 8, (4 2 0)
- 2θ 44.32, d 2.044, I = 6, (2 2 2)

***

The following is a calculated powder diffractogram of ErLuHg2. It was derived from a crystal structure in the Materials Project, relaxed with GGA-PBE, using copper Kα.
Neutral-atom scattering factors, no anomalous dispersion.

Structural model:
Cell: 7.344 7.344 7.344 Å, 90.00 90.00 90.00°
Space group Fm-3m (No. 225)
One atom of each set of equivalent atoms:
1 Er 0.000 0.000 0.000 [4 per cell]
2 Lu 0.000 0.000 0.500 [4 per cell]
3 Hg 0.250 0.250 0.250 [8 per cell]

Main lines, in order of falling intensity (2θ = 10–90°):
- 2θ 34.54, d 2.597, I = 100, (2 2 0)
- 2θ 61.89, d 1.499, I = 38, (4 2 2)
- 2θ 49.65, d 1.836, I = 18, (4 0 0)
- 2θ 83.19, d 1.161, I = 17, (6 2 0)
- 2θ 72.85, d 1.298, I = 12, (4 4 0)
- 2θ 24.24, d 3.672, I = 1, (2 0 0)